This entry pairs a crystal structure of HoTm4Ni2 with its theoretical powder X-ray diffraction pattern. Radiation: a wavelength of 1.5418 Å. Structure: a PBE-relaxed structure.
Neutral-atom scattering factors, no anomalous dispersion.

Main lines, sorted by position (10 to 90 degrees two-theta):
2θ (°)  d [Å]  I/Imax
28.68  3.112  83
31.37  2.852  22
34.05  2.633  100
47.11  1.929  40
50.68  1.801  32
56.09  1.640  13
57.69  1.598  24
59.39  1.556  20
79.06  1.211  18
84.50  1.147  15

Cell and atoms:
```
data_HoTm4Ni2
_cell_length_a 14.4313
_cell_length_b 14.4313
_cell_length_c 14.4313
_cell_angle_alpha 15.36
_cell_angle_beta 15.36
_cell_angle_gamma 15.36
_space_group_name_H-M_alt 'P 1'
_space_group_IT_number 1
loop_
_space_group_symop_operation_xyz
'x,y,z'
loop_
_atom_site_label
_atom_site_type_symbol
_atom_site_fract_x
_atom_site_fract_y
_atom_site_fract_z
Ho1 Ho 0.0000 0.0000 0.0000
Tm1 Tm 0.1999 0.1999 0.1999
Tm2 Tm 0.3987 0.3987 0.3987
Tm3 Tm 0.6013 0.6013 0.6013
Tm4 Tm 0.8001 0.8001 0.8001
Ni1 Ni 0.0996 0.0996 0.0996
Ni2 Ni 0.9004 0.9004 0.9004
```



This entry pairs a crystal structure of Ca3ReN with its theoretical powder X-ray diffraction pattern. Radiation: a wavelength of 1.5418 Å. Structure: a PBE-relaxed structure.
Neutral-atom scattering factors, no anomalous dispersion.

Main lines, sorted by position (10 to 90 degrees two-theta):
2θ (°)  d [Å]  I/Imax
18.39  4.825  50
26.12  3.412  69
32.13  2.786  100
37.27  2.413  59
41.86  2.158  28
46.08  1.970  30
53.73  1.706  39
64.00  1.455  40
73.42  1.290  16
88.28  1.107  17

Cell and atoms:
```
data_Ca3ReN
_cell_length_a 4.8252
_cell_length_b 4.8252
_cell_length_c 4.8252
_cell_angle_alpha 90.00
_cell_angle_beta 90.00
_cell_angle_gamma 90.00
_space_group_name_H-M_alt 'P 1'
_space_group_IT_number 1
loop_
_space_group_symop_operation_xyz
'x,y,z'
loop_
_atom_site_label
_atom_site_type_symbol
_atom_site_fract_x
_atom_site_fract_y
_atom_site_fract_z
Ca1 Ca 0.0000 0.0000 0.5000
Ca2 Ca 0.0000 0.5000 0.0000
Ca3 Ca 0.5000 0.0000 0.0000
Re1 Re 0.5000 0.5000 0.5000
N1 N 0.0000 0.0000 0.0000
```



This entry pairs a crystal structure of SnBi5Pt3 with its theoretical powder X-ray diffraction pattern. Radiation: a wavelength of 1.5418 Å. Structure: a PBE-relaxed structure.
Neutral-atom scattering factors, no anomalous dispersion.

Main lines, sorted by position (10 to 90 degrees two-theta):
2θ (°)  d [Å]  I/Imax
20.52  4.328  33
26.60  3.352  100
29.57  3.021  85
29.71  3.007  82
30.31  2.949  66
30.58  2.923  66
40.81  2.211  75
41.02  2.200  77
43.28  2.091  62
45.02  2.014  89

Cell and atoms:
```
data_SnBi5Pt3
_cell_length_a 6.8926
_cell_length_b 4.1814
_cell_length_c 16.8172
_cell_angle_alpha 90.00
_cell_angle_beta 90.56
_cell_angle_gamma 90.00
_space_group_name_H-M_alt 'P 1'
_space_group_IT_number 1
loop_
_space_group_symop_operation_xyz
'x,y,z'
loop_
_atom_site_label
_atom_site_type_symbol
_atom_site_fract_x
_atom_site_fract_y
_atom_site_fract_z
Sn1 Sn 0.1448 0.0000 0.2602
Sn2 Sn 0.8552 0.0000 0.7398
Bi1 Bi 0.1296 0.0000 0.5983
Bi2 Bi 0.1351 0.0000 0.9266
Bi3 Bi 0.3578 0.5000 0.7588
Bi4 Bi 0.3599 0.5000 0.4277
Bi5 Bi 0.3653 0.5000 0.0959
Bi6 Bi 0.6347 0.5000 0.9041
Bi7 Bi 0.6401 0.5000 0.5723
Bi8 Bi 0.6422 0.5000 0.2412
Bi9 Bi 0.8649 0.0000 0.0734
Bi10 Bi 0.8704 0.0000 0.4017
Pt1 Pt 0.0000 0.5000 0.5000
Pt2 Pt 0.0068 0.5000 0.1714
Pt3 Pt 0.4947 0.0000 0.3334
Pt4 Pt 0.5000 0.0000 0.0000
Pt5 Pt 0.5053 0.0000 0.6666
Pt6 Pt 0.9932 0.5000 0.8286
```



This entry pairs a crystal structure of La3CBr3 with its theoretical powder X-ray diffraction pattern. Radiation: a wavelength of 1.5418 Å. Structure: a PBE-relaxed structure.
Neutral-atom scattering factors, no anomalous dispersion.

Main lines, sorted by position (10 to 90 degrees two-theta):
2θ (°)  d [Å]  I/Imax
10.69  8.274  19
28.54  3.127  52
30.56  2.925  100
36.00  2.495  30
43.77  2.068  65
54.32  1.689  20
57.92  1.592  24
62.50  1.486  19
72.22  1.308  20
80.42  1.194  13

Cell and atoms:
```
data_La3CBr3
_cell_length_a 10.1329
_cell_length_b 10.1329
_cell_length_c 10.1329
_cell_angle_alpha 109.47
_cell_angle_beta 109.47
_cell_angle_gamma 109.47
_space_group_name_H-M_alt 'P 1'
_space_group_IT_number 1
loop_
_space_group_symop_operation_xyz
'x,y,z'
loop_
_atom_site_label
_atom_site_type_symbol
_atom_site_fract_x
_atom_site_fract_y
_atom_site_fract_z
La1 La 0.0201 0.0401 0.2701
La2 La 0.0201 0.4799 0.7500
La3 La 0.0401 0.2701 0.0201
La4 La 0.2299 0.2701 0.7500
La5 La 0.2299 0.4599 0.4799
La6 La 0.2701 0.0201 0.0401
La7 La 0.2701 0.7500 0.2299
La8 La 0.4599 0.4799 0.2299
La9 La 0.4799 0.2299 0.4599
La10 La 0.4799 0.7500 0.0201
La11 La 0.7500 0.0201 0.4799
La12 La 0.7500 0.2299 0.2701
C1 C 0.0000 0.2500 0.5000
C2 C 0.2500 0.2500 0.2500
C3 C 0.2500 0.5000 0.0000
C4 C 0.5000 0.0000 0.2500
Br1 Br 0.2500 0.7598 0.7402
Br2 Br 0.2500 0.9902 0.5098
Br3 Br 0.5098 0.2500 0.9902
Br4 Br 0.5098 0.7598 0.5197
Br5 Br 0.5197 0.5098 0.7598
Br6 Br 0.7402 0.2500 0.7598
Br7 Br 0.7402 0.9902 0.9803
Br8 Br 0.7598 0.5197 0.5098
Br9 Br 0.7598 0.7402 0.2500
Br10 Br 0.9803 0.7402 0.9902
Br11 Br 0.9902 0.5098 0.2500
Br12 Br 0.9902 0.9803 0.7402
```



This entry pairs a crystal structure of PrGa2Ni6 with its theoretical powder X-ray diffraction pattern. Radiation: a wavelength of 1.5418 Å. Structure: a PBE-relaxed structure.
Neutral-atom scattering factors, no anomalous dispersion.

Main lines, sorted by position (10 to 90 degrees two-theta):
2θ (°)  d [Å]  I/Imax
27.86  3.202  61
29.12  3.066  13
33.76  2.655  46
44.31  2.044  24
48.48  1.878  100
56.84  1.620  8
60.38  1.533  11
67.77  1.383  14
70.99  1.328  15
80.96  1.188  13

Cell and atoms:
```
data_PrGa2Ni6
_cell_length_a 7.5105
_cell_length_b 7.5105
_cell_length_c 7.5105
_cell_angle_alpha 60.00
_cell_angle_beta 60.00
_cell_angle_gamma 60.00
_space_group_name_H-M_alt 'P 1'
_space_group_IT_number 1
loop_
_space_group_symop_operation_xyz
'x,y,z'
loop_
_atom_site_label
_atom_site_type_symbol
_atom_site_fract_x
_atom_site_fract_y
_atom_site_fract_z
Pr1 Pr 0.1250 0.1250 0.1250
Pr2 Pr 0.8750 0.8750 0.8750
Ga1 Ga 0.0000 0.5000 0.5000
Ga2 Ga 0.5000 0.0000 0.5000
Ga3 Ga 0.5000 0.5000 0.0000
Ga4 Ga 0.5000 0.5000 0.5000
Ni1 Ni 0.1234 0.1234 0.6266
Ni2 Ni 0.1234 0.6266 0.1234
Ni3 Ni 0.1234 0.6266 0.6266
Ni4 Ni 0.3734 0.3734 0.8766
Ni5 Ni 0.3734 0.8766 0.3734
Ni6 Ni 0.3734 0.8766 0.8766
Ni7 Ni 0.6266 0.1234 0.1234
Ni8 Ni 0.6266 0.1234 0.6266
Ni9 Ni 0.6266 0.6266 0.1234
Ni10 Ni 0.8766 0.3734 0.3734
Ni11 Ni 0.8766 0.3734 0.8766
Ni12 Ni 0.8766 0.8766 0.3734
```



This entry pairs a crystal structure of Tl3Hg with its theoretical powder X-ray diffraction pattern. Radiation: a wavelength of 1.5418 Å. Structure: a PBE-relaxed structure.
Neutral-atom scattering factors, no anomalous dispersion.

Main lines, sorted by position (10 to 90 degrees two-theta):
2θ (°)  d [Å]  I/Imax
31.89  2.806  100
32.74  2.736  93
46.35  1.959  36
56.29  1.634  21
57.90  1.593  38
58.43  1.579  18
66.66  1.403  12
68.61  1.368  11
76.27  1.248  17
77.66  1.230  16

Cell and atoms:
```
data_Tl3Hg
_cell_length_a 10.9429
_cell_length_b 10.9429
_cell_length_c 3.4826
_cell_angle_alpha 90.00
_cell_angle_beta 90.00
_cell_angle_gamma 120.00
_space_group_name_H-M_alt 'P 1'
_space_group_IT_number 1
loop_
_space_group_symop_operation_xyz
'x,y,z'
loop_
_atom_site_label
_atom_site_type_symbol
_atom_site_fract_x
_atom_site_fract_y
_atom_site_fract_z
Tl1 Tl 0.0000 0.5000 0.0000
Tl2 Tl 0.1667 0.3333 0.3333
Tl3 Tl 0.1667 0.8333 0.3333
Tl4 Tl 0.3333 0.1667 0.6667
Tl5 Tl 0.5000 0.0000 0.0000
Tl6 Tl 0.5000 0.5000 0.0000
Tl7 Tl 0.6667 0.8333 0.3333
Tl8 Tl 0.8333 0.1667 0.6667
Tl9 Tl 0.8333 0.6667 0.6667
Hg1 Hg 0.0000 0.0000 0.0000
Hg2 Hg 0.3333 0.6667 0.6667
Hg3 Hg 0.6667 0.3333 0.3333
```



This entry pairs a crystal structure of V3PtRh4 with its theoretical powder X-ray diffraction pattern. Radiation: a wavelength of 1.5418 Å. Structure: a PBE-relaxed structure.
Neutral-atom scattering factors, no anomalous dispersion.

Main lines, sorted by position (10 to 90 degrees two-theta):
2θ (°)  d [Å]  I/Imax
16.17  5.483  13
38.04  2.365  15
39.48  2.283  23
39.90  2.260  13
41.43  2.179  43
43.53  2.079  100
43.92  2.061  42
69.32  1.356  18
77.03  1.238  18
84.09  1.151  21

Cell and atoms:
```
data_V3PtRh4
_cell_length_a 8.7173
_cell_length_b 5.4825
_cell_length_c 4.6791
_cell_angle_alpha 90.00
_cell_angle_beta 90.00
_cell_angle_gamma 90.00
_space_group_name_H-M_alt 'P 1'
_space_group_IT_number 1
loop_
_space_group_symop_operation_xyz
'x,y,z'
loop_
_atom_site_label
_atom_site_type_symbol
_atom_site_fract_x
_atom_site_fract_y
_atom_site_fract_z
V1 V 0.0000 0.0000 0.0000
V2 V 0.2500 0.0000 0.3435
V3 V 0.2500 0.5000 0.3323
V4 V 0.5000 0.0000 0.0000
V5 V 0.7500 0.0000 0.6565
V6 V 0.7500 0.5000 0.6677
Pt1 Pt 0.0000 0.5000 0.0000
Pt2 Pt 0.5000 0.5000 0.0000
Rh1 Rh 0.0000 0.2447 0.5000
Rh2 Rh 0.0000 0.7553 0.5000
Rh3 Rh 0.2500 0.2502 0.8445
Rh4 Rh 0.2500 0.7498 0.8445
Rh5 Rh 0.5000 0.2447 0.5000
Rh6 Rh 0.5000 0.7553 0.5000
Rh7 Rh 0.7500 0.2502 0.1555
Rh8 Rh 0.7500 0.7498 0.1555
```



This entry pairs a crystal structure of Y6NiRh5 with its theoretical powder X-ray diffraction pattern. Radiation: a wavelength of 1.5418 Å. Structure: a PBE-relaxed structure.
Neutral-atom scattering factors, no anomalous dispersion.

Main lines, sorted by position (10 to 90 degrees two-theta):
2θ (°)  d [Å]  I/Imax
36.92  2.435  100
37.16  2.419  49
52.84  1.733  9
53.57  1.711  17
66.36  1.409  17
66.84  1.400  33
78.59  1.217  10
79.13  1.210  3
79.24  1.209  3
89.56  1.094  8

Cell and atoms:
```
data_Y6NiRh5
_cell_length_a 7.6536
_cell_length_b 7.6536
_cell_length_c 6.9308
_cell_angle_alpha 90.00
_cell_angle_beta 90.00
_cell_angle_gamma 143.17
_space_group_name_H-M_alt 'P 1'
_space_group_IT_number 1
loop_
_space_group_symop_operation_xyz
'x,y,z'
loop_
_atom_site_label
_atom_site_type_symbol
_atom_site_fract_x
_atom_site_fract_y
_atom_site_fract_z
Y1 Y 0.0000 0.0000 0.2489
Y2 Y 0.0000 0.0000 0.7511
Y3 Y 0.3337 0.6663 0.2492
Y4 Y 0.3337 0.6663 0.7508
Y5 Y 0.6663 0.3337 0.2492
Y6 Y 0.6663 0.3337 0.7508
Ni1 Ni 0.5000 0.5000 0.0000
Rh1 Rh 0.1662 0.8338 0.0000
Rh2 Rh 0.1671 0.8329 0.5000
Rh3 Rh 0.5000 0.5000 0.5000
Rh4 Rh 0.8329 0.1671 0.5000
Rh5 Rh 0.8338 0.1662 0.0000
```